Starting from DFT lattice parameters and positions (PBE), the X-ray powder pattern of YPu2MnC4 was computed for copper Kα.

Principal peaks in the range 5 to 70 degrees two-theta, sorted by position:
Position (°2θ)	intensity
14.80	64.4
26.77	27.0
27.44	78.7
29.86	26.5
30.72	100.0
31.94	55.5
35.10	32.2
38.37	78.0
41.00	36.5
46.73	37.5
52.45	45.0
62.74	29.9

Unit cell a=3.4879 b=11.2090 c=11.9699 alpha=90.00 beta=90.00 gamma=90.00
Space group Cmcm (No. 63)
Unique sites:
Y  0.0000  0.1042  0.2500 x4
Pu  0.0000  0.3686  0.0454 x8
Mn  0.0000  0.1655  0.7500 x4
C  0.0000  0.0000  0.0000 x4
C  0.0000  0.2632  0.6300 x8
C  0.0000  0.4178  0.2500 x4